Nb4CrC2S4: simulated PXRD pattern (λ = 1.5418 Å (Cu Kα)), based on a structure optimized by DFT (GGA-PBE).

Crystal structure
```
data_Nb4CrC2S4
_symmetry_space_group_name_H-M 'P 1 2/m 1'
_symmetry_Int_Tables_number 10
_symmetry_space_group_name_Hall '-P 2y'
_cell_length_a 5.771
_cell_length_b 3.342
_cell_length_c 8.764
_cell_angle_alpha 90.00
_cell_angle_beta 102.18
_cell_angle_gamma 90.00
loop_
_atom_site_label
_atom_site_type_symbol
_atom_site_fract_x
_atom_site_fract_y
_atom_site_fract_z
Nb1 Nb 0.118 0.000 0.368
Nb2 Nb 0.371 0.500 0.633
Cr1 Cr 0.000 0.000 0.000
C1 C 0.000 0.500 0.500
C2 C 0.500 0.000 0.500
S1 S 0.227 0.500 0.164
S2 S 0.275 0.000 0.830
```

The 10 most intense peaks (2θ = 10–80°), in order of rising 2θ:
| d (Å) | two_theta | Rel. int. | hkl |
| --- | --- | --- | --- |
| 8.567 | 10.3 | 100 | 0 0 1 |
| 2.875 | 31.1 | 49 | 1 1 0 |
| 2.861 | 31.3 | 36 | 2 0 -1 |
| 2.525 | 35.5 | 26 | 2 0 1 |
| 2.516 | 35.7 | 54 | 1 1 -2 |
| 2.277 | 39.6 | 48 | 1 1 2 |
| 2.259 | 39.9 | 23 | 2 0 -3 |
| 2.156 | 41.9 | 32 | 2 0 2 |
| 2.144 | 42.1 | 75 | 1 1 -3 |
| 1.667 | 55.1 | 38 | 3 1 -1 |


NdCr2C2: simulated PXRD pattern (λ = 1.5418 Å (Cu Kα)), based on a structure optimized by DFT (GGA-PBE).

Crystal structure
```
data_NdCr2C2
_symmetry_space_group_name_H-M 'F d d d'
_symmetry_Int_Tables_number 70
_cell_length_a 6.487
_cell_length_b 8.708
_cell_length_c 8.959
_cell_angle_alpha 90.00
_cell_angle_beta 90.00
_cell_angle_gamma 90.00
loop_
_symmetry_equiv_pos_as_xyz
'x,y,z'
'-x,-y,-z'
'-x+1/4,-y+1/4,z'
'x+1/4,y+1/4,-z'
'x,-y+1/4,-z+1/4'
'-x,y+1/4,z+1/4'
'-x+1/4,y,-z+1/4'
'x+1/4,-y,z+1/4'
'x,y+1/2,z+1/2'
'-x,-y+1/2,-z+1/2'
'-x+1/4,-y+3/4,z+1/2'
'x+1/4,y+3/4,-z+1/2'
'x,-y+3/4,-z+3/4'
'-x,y+3/4,z+3/4'
'-x+1/4,y+1/2,-z+3/4'
'x+1/4,-y+1/2,z+3/4'
'x+1/2,y,z+1/2'
'-x+1/2,-y,-z+1/2'
'-x+3/4,-y+1/4,z+1/2'
'x+3/4,y+1/4,-z+1/2'
'x+1/2,-y+1/4,-z+3/4'
'-x+1/2,y+1/4,z+3/4'
'-x+3/4,y,-z+3/4'
'x+3/4,-y,z+3/4'
'x+1/2,y+1/2,z'
'-x+1/2,-y+1/2,-z'
'-x+3/4,-y+3/4,z'
'x+3/4,y+3/4,-z'
'x+1/2,-y+3/4,-z+1/4'
'-x+1/2,y+3/4,z+1/4'
'-x+3/4,y+1/2,-z+1/4'
'x+3/4,-y+1/2,z+1/4'
loop_
_atom_site_label
_atom_site_type_symbol
_atom_site_fract_x
_atom_site_fract_y
_atom_site_fract_z
Nd1 Nd 0.125 0.125 0.125
Cr1 Cr 0.125 0.125 0.490
C1 C 0.125 0.320 0.625
```

The 10 most intense peaks (2θ = 10–80°), in order of rising 2θ:
| d (Å) | two_theta | Rel. int. | hkl |
| --- | --- | --- | --- |
| 4.499 | 19.7 | 28 | 1 1 1 |
| 3.122 | 28.6 | 38 | 0 2 2 |
| 2.627 | 34.1 | 43 | 2 0 2 |
| 2.601 | 34.5 | 100 | 2 2 0 |
| 2.590 | 34.6 | 90 | 1 1 3 |
| 2.177 | 41.5 | 35 | 0 4 0 |
| 1.982 | 45.8 | 49 | 1 3 3 |
| 1.717 | 53.4 | 25 | 3 1 3 |
| 1.676 | 54.8 | 17 | 2 4 2 |
| 1.500 | 61.9 | 19 | 3 3 3 |


Number 1 is which compound?
Nb4CrC2S4


What did the second record say?
NdCr2C2: simulated PXRD pattern (λ = 1.5418 Å (Cu Kα)), based on a structure optimized by DFT (GGA-PBE).

Crystal structure
```
data_NdCr2C2
_symmetry_space_group_name_H-M 'F d d d'
_symmetry_Int_Tables_number 70
_cell_length_a 6.487
_cell_length_b 8.708
_cell_length_c 8.959
_cell_angle_alpha 90.00
_cell_angle_beta 90.00
_cell_angle_gamma 90.00
loop_
_symmetry_equiv_pos_as_xyz
'x,y,z'
'-x,-y,-z'
'-x+1/4,-y+1/4,z'
'x+1/4,y+1/4,-z'
'x,-y+1/4,-z+1/4'
'-x,y+1/4,z+1/4'
'-x+1/4,y,-z+1/4'
'x+1/4,-y,z+1/4'
'x,y+1/2,z+1/2'
'-x,-y+1/2,-z+1/2'
'-x+1/4,-y+3/4,z+1/2'
'x+1/4,y+3/4,-z+1/2'
'x,-y+3/4,-z+3/4'
'-x,y+3/4,z+3/4'
'-x+1/4,y+1/2,-z+3/4'
'x+1/4,-y+1/2,z+3/4'
'x+1/2,y,z+1/2'
'-x+1/2,-y,-z+1/2'
'-x+3/4,-y+1/4,z+1/2'
'x+3/4,y+1/4,-z+1/2'
'x+1/2,-y+1/4,-z+3/4'
'-x+1/2,y+1/4,z+3/4'
'-x+3/4,y,-z+3/4'
'x+3/4,-y,z+3/4'
'x+1/2,y+1/2,z'
'-x+1/2,-y+1/2,-z'
'-x+3/4,-y+3/4,z'
'x+3/4,y+3/4,-z'
'x+1/2,-y+3/4,-z+1/4'
'-x+1/2,y+3/4,z+1/4'
'-x+3/4,y+1/2,-z+1/4'
'x+3/4,-y+1/2,z+1/4'
loop_
_atom_site_label
_atom_site_type_symbol
_atom_site_fract_x
_atom_site_fract_y
_atom_site_fract_z
Nd1 Nd 0.125 0.125 0.125
Cr1 Cr 0.125 0.125 0.490
C1 C 0.125 0.320 0.625
```

The 10 most intense peaks (2θ = 10–80°), in order of rising 2θ:
| d (Å) | two_theta | Rel. int. | hkl |
| --- | --- | --- | --- |
| 4.499 | 19.7 | 28 | 1 1 1 |
| 3.122 | 28.6 | 38 | 0 2 2 |
| 2.627 | 34.1 | 43 | 2 0 2 |
| 2.601 | 34.5 | 100 | 2 2 0 |
| 2.590 | 34.6 | 90 | 1 1 3 |
| 2.177 | 41.5 | 35 | 0 4 0 |
| 1.982 | 45.8 | 49 | 1 3 3 |
| 1.717 | 53.4 | 25 | 3 1 3 |
| 1.676 | 54.8 | 17 | 2 4 2 |
| 1.500 | 61.9 | 19 | 3 3 3 |


What is the formula in the first record?
Nb4CrC2S4